# 1
For Tm5ZnCu2, a DFT-relaxed cell (PBE, Alexandria) gives the theoretical powder diffractogram in this record (Cu Kα (weighted mean of Kα1 and Kα2)).
Neutral-atom scattering factors, no anomalous dispersion.

Atomic structure:
```
data_Tm5ZnCu2
_space_group_name_H-M_alt 'I 4/m c m'
_space_group_IT_number 140
_space_group_name_Hall '-I 4 2c'
_cell_length_a 7.6804
_cell_length_b 7.6804
_cell_length_c 12.6551
_cell_angle_alpha 90.00
_cell_angle_beta 90.00
_cell_angle_gamma 90.00
loop_
_atom_site_label
_atom_site_type_symbol
_atom_site_fract_x
_atom_site_fract_y
_atom_site_fract_z
Tm1 Tm 0.0000 0.0000 0.0000
Tm2 Tm 0.1594 0.3406 0.1441
Zn1 Zn 0.0000 0.0000 0.2500
Cu1 Cu 0.1268 0.3732 0.5000
```

The 10 most intense peaks (5 to 70 degrees two-theta), by angle:
Position (°2θ)  I_rel  hkl
26.90  26  2 1 1
32.76  20  1 1 4
33.65  100  2 1 3
36.81  29  2 0 4
37.01  54  3 1 0
53.80  13  4 1 3
57.62  12  2 1 7
57.91  11  3 1 6
58.77  18  3 3 4
69.58  15  5 2 3

# 2
For Tb5Ni2Rh, a DFT-relaxed cell (PBE, Alexandria) gives the theoretical powder diffractogram in this record (Cu Kα (weighted mean of Kα1 and Kα2)).
Neutral-atom scattering factors, no anomalous dispersion.

Atomic structure:
```
data_Tb5Ni2Rh
_space_group_name_H-M_alt 'I 4/m c m'
_space_group_IT_number 140
_space_group_name_Hall '-I 4 2c'
_cell_length_a 7.1120
_cell_length_b 7.1120
_cell_length_c 14.5960
_cell_angle_alpha 90.00
_cell_angle_beta 90.00
_cell_angle_gamma 90.00
loop_
_atom_site_label
_atom_site_type_symbol
_atom_site_fract_x
_atom_site_fract_y
_atom_site_fract_z
Tb1 Tb 0.0000 0.0000 0.0000
Tb2 Tb 0.1726 0.3274 0.1449
Ni1 Ni 0.1213 0.3787 0.5000
Rh1 Rh 0.0000 0.0000 0.2500
```

The 10 most intense peaks (5 to 70 degrees two-theta), by angle:
Position (°2θ)  I_rel  hkl
28.73  21  2 1 1
30.26  25  1 1 4
33.67  100  2 1 3
35.24  57  2 0 4
35.71  17  2 2 0
36.95  14  0 0 6
40.09  45  3 1 0
52.47  15  2 1 7
56.61  19  4 1 3
60.81  20  3 3 4

# 3
For Ga2Pd2I, a DFT-relaxed cell (PBE, Alexandria) gives the theoretical powder diffractogram in this record (Cu Kα (weighted mean of Kα1 and Kα2)).
Neutral-atom scattering factors, no anomalous dispersion.

Atomic structure:
```
data_Ga2Pd2I
_space_group_name_H-M_alt 'I 4/m m m'
_space_group_IT_number 139
_space_group_name_Hall '-I 4 2'
_cell_length_a 4.3124
_cell_length_b 4.3124
_cell_length_c 10.8997
_cell_angle_alpha 90.00
_cell_angle_beta 90.00
_cell_angle_gamma 90.00
loop_
_atom_site_label
_atom_site_type_symbol
_atom_site_fract_x
_atom_site_fract_y
_atom_site_fract_z
Ga1 Ga 0.0000 0.0000 0.1165
Pd1 Pd 0.0000 0.5000 0.2500
I1 I 0.0000 0.0000 0.5000
```

The 10 most intense peaks (5 to 70 degrees two-theta), by angle:
Position (°2θ)  I_rel  hkl
32.22  39  1 0 3
32.87  8  0 0 4
33.68  100  1 1 2
41.90  51  2 0 0
44.60  20  1 1 4
46.69  20  1 0 5
53.82  18  2 1 3
59.20  13  1 1 6
60.75  16  2 2 0
64.51  15  2 1 5

# 4
For NdTmLu, a DFT-relaxed cell (PBE, Alexandria) gives the theoretical powder diffractogram in this record (Cu Kα (weighted mean of Kα1 and Kα2)).
Neutral-atom scattering factors, no anomalous dispersion.

Atomic structure:
```
data_NdTmLu
_space_group_name_H-M_alt 'I 4 m m'
_space_group_IT_number 107
_space_group_name_Hall 'I 4 -2'
_cell_length_a 3.5420
_cell_length_b 3.5420
_cell_length_c 15.0787
_cell_angle_alpha 90.00
_cell_angle_beta 90.00
_cell_angle_gamma 90.00
loop_
_atom_site_label
_atom_site_type_symbol
_atom_site_fract_x
_atom_site_fract_y
_atom_site_fract_z
Nd1 Nd 0.0000 0.0000 0.0000
Tm1 Tm 0.0000 0.0000 0.3304
Lu1 Lu 0.0000 0.0000 0.6688
```

The 9 most intense peaks (5 to 70 degrees two-theta), by angle:
Position (°2θ)  I_rel  hkl
11.74  1  0 0 2
30.88  100  1 0 3
35.73  17  0 0 6
35.85  34  1 1 0
39.23  1  1 0 5
51.55  36  2 0 0
61.20  14  1 0 9
61.36  29  2 1 3
64.35  12  2 0 6

# 5
For Er6SbC, a DFT-relaxed cell (PBE, Alexandria) gives the theoretical powder diffractogram in this record (Cu Kα (weighted mean of Kα1 and Kα2)).
Neutral-atom scattering factors, no anomalous dispersion.

Atomic structure:
```
data_Er6SbC
_space_group_name_H-M_alt 'P -1'
_space_group_IT_number 2
_cell_length_a 6.5087
_cell_length_b 6.5360
_cell_length_c 7.1548
_cell_angle_alpha 63.07
_cell_angle_beta 63.42
_cell_angle_gamma 60.23
loop_
_space_group_symop_operation_xyz
'x,y,z'
'-x,-y,-z'
loop_
_atom_site_label
_atom_site_type_symbol
_atom_site_fract_x
_atom_site_fract_y
_atom_site_fract_z
Er1 Er 0.0360 0.3994 0.2696
Er2 Er 0.2046 0.9664 0.7317
Er3 Er 0.3985 0.7958 0.2702
Sb1 Sb 0.5000 0.5000 0.0000
C1 C 0.0000 0.0000 0.5000
```

The 10 most intense peaks (5 to 70 degrees two-theta), by angle:
Position (°2θ)  I_rel  hkl
27.27  11  1 2 1
29.23  33  0 0 2
30.96  28  -1 1 1
31.06  100  2 1 0
31.25  14  2 1 2
32.09  13  2 0 1
40.32  25  1 2 -1
40.67  11  2 1 3
48.37  17  3 3 2
53.08  10  1 -1 3

# 6
For Na5ErPb6, a DFT-relaxed cell (PBE, Alexandria) gives the theoretical powder diffractogram in this record (Cu Kα (weighted mean of Kα1 and Kα2)).
Neutral-atom scattering factors, no anomalous dispersion.

Atomic structure:
```
data_Na5ErPb6
_space_group_name_H-M_alt 'P 1 2/m 1'
_space_group_IT_number 10
_cell_length_a 4.8688
_cell_length_b 9.5864
_cell_length_c 7.6818
_cell_angle_alpha 90.00
_cell_angle_beta 108.09
_cell_angle_gamma 90.00
loop_
_space_group_symop_operation_xyz
'x,y,z'
'-x,-y,-z'
'-x,y,-z'
'x,-y,z'
loop_
_atom_site_label
_atom_site_type_symbol
_atom_site_fract_x
_atom_site_fract_y
_atom_site_fract_z
Na1 Na 0.0000 0.0000 0.0000
Na2 Na 0.3247 0.5000 0.6507
Na3 Na 0.3328 0.0000 0.6651
Er1 Er 0.0000 0.5000 0.0000
Pb1 Pb 0.1654 0.2532 0.3280
Pb2 Pb 0.5000 0.2633 0.0000
```

The 10 most intense peaks (5 to 70 degrees two-theta), by angle:
Position (°2θ)  I_rel  hkl
18.51  69  0 2 0
25.79  33  1 0 1
25.97  32  1 0 -2
31.94  100  1 2 1
32.08  99  1 2 -2
36.93  69  2 0 -1
37.53  32  0 4 0
41.61  38  2 2 -1
53.67  46  2 4 -1
63.33  29  3 2 0